No. 1
Diffraction record for NaCaBiCl6. The X-ray powder pattern is calculated, not measured: it uses a cell relaxed with PBE and Cu Kα.

Structural model:
```
data_NaCaBiCl6
_chemical_formula_sum 'Na2 Ca2 Bi2 Cl12'
_symmetry_space_group_name_H-M 'P -3 1 c'
_symmetry_Int_Tables_number 163
_symmetry_space_group_name_Hall '-P 3 2c'
_cell_length_a 7.0476
_cell_length_b 7.0476
_cell_length_c 12.5648
_cell_angle_alpha 90.00
_cell_angle_beta 90.00
_cell_angle_gamma 120.00
loop_
_atom_site_label
_atom_site_type_symbol
_atom_site_fract_x
_atom_site_fract_y
_atom_site_fract_z
Na1 Na 0.0000 0.0000 0.0000
Ca1 Ca 0.3333 0.6667 0.2500
Bi1 Bi 0.3333 0.6667 0.7500
Cl1 Cl 0.0018 0.3502 0.6293
```

Peak list (10 most intense, 10° ≤ 2θ ≤ 80°, in order of rising 2θ)
two_theta	d_spacing	intensity	index
14.10	6.282	61	0 0 2
14.51	6.103	39	1 0 0
16.14	5.490	92	1 0 1
20.29	4.378	65	1 0 2
25.27	3.524	22	1 1 0
25.80	3.453	31	1 0 3
29.05	3.073	100	1 1 2
38.39	2.345	81	1 1 4
44.54	2.034	41	3 0 0
50.71	1.800	22	2 -1 6

***

No. 2
Diffraction record for NaCa2BiCl8. The X-ray powder pattern is calculated, not measured: it uses a cell relaxed with PBE and Cu Kα.

Structural model:
```
data_NaCa2BiCl8
_chemical_formula_sum 'Na1 Ca2 Bi1 Cl8'
_symmetry_space_group_name_H-M 'P 1 2/m 1'
_symmetry_Int_Tables_number 10
_symmetry_space_group_name_Hall '-P 2y'
_cell_length_a 6.3458
_cell_length_b 8.4508
_cell_length_c 6.5703
_cell_angle_alpha 90.00
_cell_angle_beta 90.38
_cell_angle_gamma 90.00
loop_
_atom_site_label
_atom_site_type_symbol
_atom_site_fract_x
_atom_site_fract_y
_atom_site_fract_z
Na1 Na 0.0000 0.0000 0.0000
Ca1 Ca 0.5000 0.2391 0.5000
Bi1 Bi 0.0000 0.5000 0.0000
Cl1 Cl 0.2260 0.2615 0.8286
Cl2 Cl 0.2747 0.5000 0.3313
Cl3 Cl 0.2830 0.0000 0.3277
```

Peak list (10 most intense, 10° ≤ 2θ ≤ 80°, in order of rising 2θ)
two_theta	d_spacing	intensity	index
10.47	8.451	96	0 1 0
17.09	5.187	71	0 1 1
17.48	5.074	69	1 1 0
19.38	4.580	87	1 0 -1
19.51	4.549	87	1 0 1
25.32	3.517	56	1 2 0
28.75	3.105	100	1 2 -1
37.95	2.371	52	2 2 -1
38.09	2.363	55	2 2 1
46.72	1.944	51	0 2 3

***

No. 3
Diffraction record for Sr2Ca4Bi3Cl2. The X-ray powder pattern is calculated, not measured: it uses a cell relaxed with PBE and Cu Kα.

Structural model:
```
data_Sr2Ca4Bi3Cl2
_chemical_formula_sum 'Sr4 Ca8 Bi6 Cl4'
_symmetry_space_group_name_H-M 'I 4/m m m'
_symmetry_Int_Tables_number 139
_symmetry_space_group_name_Hall '-I 4 2'
_cell_length_a 5.3317
_cell_length_b 5.3317
_cell_length_c 26.0547
_cell_angle_alpha 90.00
_cell_angle_beta 90.00
_cell_angle_gamma 90.00
loop_
_atom_site_label
_atom_site_type_symbol
_atom_site_fract_x
_atom_site_fract_y
_atom_site_fract_z
Sr1 Sr 0.0000 0.0000 0.2019
Ca1 Ca 0.0000 0.5000 0.0794
Bi1 Bi 0.0000 0.0000 0.3319
Bi2 Bi 0.0000 0.0000 0.5000
Cl1 Cl 0.0000 0.0000 0.0833
```

Peak list (10 most intense, 10° ≤ 2θ ≤ 80°, in order of rising 2θ)
two_theta	d_spacing	intensity	index
16.97	5.223	61	1 0 1
23.60	3.770	86	1 1 0
23.88	3.727	34	1 0 5
29.26	3.052	77	1 0 7
31.42	2.847	100	1 1 6
33.62	2.666	79	2 0 0
45.16	2.008	47	2 1 7
48.30	1.884	36	2 2 0
54.46	1.685	36	3 1 0
58.75	1.572	34	3 1 6